[1]
Starting from DFT lattice parameters and positions (PBE), the powder diffraction line list of CaEr3Mg4 was simulated for a wavelength of 1.5418 Å.
Intensities are scaled so that the largest is 100.

Principal peaks in the range 10° ≤ 2θ ≤ 90°, most intense first:
d_spacing	2θ (°)	intensity
2.685	33.37	100
3.837	23.18	57
2.713	33.01	51
1.561	59.19	38
3.758	23.68	27
2.200	41.03	26
1.545	59.87	20
1.919	47.38	18

Atomic structure:
```
CaEr3Mg4
1.0
3.7579 0.0000 0.0000
0.0000 5.4262 0.0000
0.0000 0.0000 10.8545
Ca Er Mg
1 3 4
Direct
0.0000 0.0000 0.0000
0.0000 0.0000 0.5000
0.0000 0.5000 0.2555
0.0000 0.5000 0.7445
0.5000 0.0000 0.2566
0.5000 0.0000 0.7434
0.5000 0.5000 0.0000
0.5000 0.5000 0.5000
```

=====

[2]
Starting from DFT lattice parameters and positions (PBE), the powder diffraction line list of Ti4BrO7 was simulated for a wavelength of 1.5418 Å.
Intensities are scaled so that the largest is 100.

Principal peaks in the range 10° ≤ 2θ ≤ 90°, most intense first:
d_spacing	2θ (°)	intensity
4.362	20.36	100
5.106	17.37	65
3.627	24.55	58
3.407	26.16	38
3.019	29.59	26
2.026	44.72	24
2.324	38.74	23
2.403	37.42	21

Atomic structure:
```
Ti4BrO7
1.0
14.5663 0.0000 0.0000
0.0000 5.4467 0.0000
0.0000 0.0000 5.4552
Ti Br O
8 2 14
Direct
0.1110 0.1760 0.0000
0.2320 0.6014 0.0143
0.2680 0.3986 0.5143
0.3890 0.8240 0.5000
0.6110 0.8240 0.5000
0.7320 0.3986 0.5143
0.7680 0.6014 0.0143
0.8890 0.1760 0.0000
0.0000 0.9660 0.6635
0.5000 0.0340 0.1635
0.0000 0.2808 0.1144
0.1606 0.8639 0.0495
0.1732 0.3708 0.7668
0.1850 0.3398 0.2457
0.3150 0.6602 0.7457
0.3268 0.6292 0.2668
0.3394 0.1361 0.5495
0.5000 0.7192 0.6144
0.6606 0.1361 0.5495
0.6732 0.6292 0.2668
0.6850 0.6602 0.7457
0.8150 0.3398 0.2457
0.8268 0.3708 0.7668
0.8394 0.8639 0.0495
```

=====

[3]
Starting from DFT lattice parameters and positions (PBE), the powder diffraction line list of Nd5TmSc was simulated for a wavelength of 1.5418 Å.
Intensities are scaled so that the largest is 100.

Principal peaks in the range 10° ≤ 2θ ≤ 90°, most intense first:
d_spacing	2θ (°)	intensity
2.917	30.65	100
3.081	28.98	80
5.834	15.19	73
2.950	30.30	72
4.407	20.15	43
2.433	36.95	24
1.759	51.98	21
2.152	41.98	19

Atomic structure:
```
Nd5TmSc
1.0
5.8465 -4.4114 0.0000
5.8465 4.4114 0.0000
-0.4758 0.0000 5.8431
Nd Tm Sc
5 1 1
Direct
0.0000 0.0000 0.0000
0.2503 0.2503 0.5648
0.3113 0.6887 0.5000
0.6887 0.3113 0.5000
0.7497 0.7497 0.4352
0.5000 0.5000 0.0000
0.0000 0.0000 0.5000
```

=====

[4]
Starting from DFT lattice parameters and positions (PBE), the powder diffraction line list of YV2Mo2 was simulated for a wavelength of 1.5418 Å.
Intensities are scaled so that the largest is 100.

Principal peaks in the range 10° ≤ 2θ ≤ 90°, most intense first:
d_spacing	2θ (°)	intensity
2.740	32.69	100
2.571	34.90	79
2.055	44.06	70
1.943	46.75	51
2.906	30.76	45
1.644	55.93	41
2.000	45.35	35
1.412	66.19	35

Atomic structure:
```
YV2Mo2
1.0
-2.0551 2.0551 5.5124
2.0551 -2.0551 5.5124
2.0551 2.0551 -5.5124
Y V Mo
1 2 2
Direct
0.0000 0.0000 0.0000
0.2500 0.7500 0.5000
0.7500 0.2500 0.5000
0.3812 0.3812 0.0000
0.6188 0.6188 0.0000
```